1.
The following is a simulated XRD peak list of NdSm2C. It was derived from a GGA-PBE-relaxed structure, using CuKα.
Intensities are scaled so that the largest is 100.

Largest 10 diffraction maxima, most intense first, 2θ = 10–90°:
d = 3.010 Å, 29.68 deg, rel. 100.0; d = 2.639 Å, 33.97 deg, rel. 76.2; d = 3.170 Å, 28.15 deg, rel. 35.2; d = 1.586 Å, 58.17 deg, rel. 31.9; d = 1.903 Å, 47.80 deg, rel. 29.5; d = 1.832 Å, 49.77 deg, rel. 26.4; d = 1.631 Å, 56.40 deg, rel. 14.6; d = 1.565 Å, 59.03 deg, rel. 14.5; d = 1.505 Å, 61.63 deg, rel. 13.5; d = 1.190 Å, 80.77 deg, rel. 12.6

Crystal structure
```
NdSm2C
1.0
3.6639 0.0000 0.0000
-1.8319 3.1730 0.0000
0.0000 0.0000 9.5105
Nd Sm C
1 2 1
Direct
0.0000 0.0000 0.0000
0.3333 0.6667 0.6477
0.6667 0.3333 0.3523
0.0000 0.0000 0.5000
```



2.
The following is a simulated XRD peak list of TbNdTeO2. It was derived from a GGA-PBE-relaxed structure, using CuKα.
Intensities are scaled so that the largest is 100.

Largest 10 diffraction maxima, most intense first, 2θ = 10–90°:
d = 2.807 Å, 31.88 deg, rel. 100.0; d = 2.948 Å, 30.32 deg, rel. 83.2; d = 2.966 Å, 30.13 deg, rel. 79.6; d = 3.523 Å, 25.28 deg, rel. 72.9; d = 2.595 Å, 34.57 deg, rel. 70.3; d = 1.580 Å, 58.39 deg, rel. 39.3; d = 2.078 Å, 43.56 deg, rel. 36.4; d = 1.698 Å, 53.99 deg, rel. 32.7; d = 1.986 Å, 45.69 deg, rel. 32.0; d = 1.702 Å, 53.87 deg, rel. 31.0

Crystal structure
```
TbNdTeO2
1.0
6.9467 0.0000 0.0000
0.0000 4.1555 0.0000
-2.3176 0.0000 7.5971
Tb Nd Te O
2 2 2 4
Direct
0.1587 0.2500 0.4126
0.8413 0.7500 0.5874
0.1772 0.2500 0.9241
0.8228 0.7500 0.0759
0.4504 0.7500 0.2482
0.5496 0.2500 0.7518
0.0081 0.7500 0.3833
0.0167 0.7500 0.8729
0.9833 0.2500 0.1271
0.9919 0.2500 0.6167
```



3.
The following is a simulated XRD peak list of RbEr3Ga4O12. It was derived from a GGA-PBE-relaxed structure, using CuKα.
Intensities are scaled so that the largest is 100.

Largest 10 diffraction maxima, most intense first, 2θ = 10–90°:
d = 3.078 Å, 29.01 deg, rel. 100.0; d = 3.453 Å, 25.80 deg, rel. 43.8; d = 2.950 Å, 30.30 deg, rel. 42.0; d = 2.660 Å, 33.69 deg, rel. 37.6; d = 1.805 Å, 50.58 deg, rel. 31.3; d = 5.899 Å, 15.02 deg, rel. 24.3; d = 1.785 Å, 51.16 deg, rel. 21.8; d = 1.685 Å, 54.47 deg, rel. 20.6; d = 4.259 Å, 20.85 deg, rel. 19.6; d = 2.284 Å, 39.46 deg, rel. 18.8

Crystal structure
```
RbEr3Ga4O12
1.0
5.8992 3.4059 2.5714
-5.8992 3.4059 2.5714
0.0000 -6.8119 2.5714
Rb Er Ga O
1 3 4 12
Direct
0.0000 0.0000 0.0000
0.0000 0.5542 0.4458
0.4458 0.0000 0.5542
0.5542 0.4458 0.0000
0.0570 0.5000 0.9430
0.5000 0.5000 0.5000
0.5000 0.9430 0.0570
0.9430 0.0570 0.5000
0.0794 0.6499 0.7875
0.0961 0.9039 0.5000
0.2125 0.3501 0.9206
0.3475 0.6525 0.5000
0.3501 0.9206 0.2125
0.5000 0.0961 0.9039
0.5000 0.3475 0.6525
0.6499 0.7875 0.0794
0.6525 0.5000 0.3475
0.7875 0.0794 0.6499
0.9039 0.5000 0.0961
0.9206 0.2125 0.3501
```



4.
The following is a simulated XRD peak list of LaPb3S. It was derived from a GGA-PBE-relaxed structure, using CuKα.
Intensities are scaled so that the largest is 100.

Largest 10 diffraction maxima, most intense first, 2θ = 10–90°:
d = 3.170 Å, 28.15 deg, rel. 100.0; d = 2.745 Å, 32.62 deg, rel. 61.8; d = 1.655 Å, 55.52 deg, rel. 47.3; d = 1.941 Å, 46.80 deg, rel. 45.9; d = 1.228 Å, 77.81 deg, rel. 21.3; d = 1.259 Å, 75.48 deg, rel. 19.7; d = 1.121 Å, 86.93 deg, rel. 16.7; d = 1.585 Å, 58.21 deg, rel. 16.1; d = 1.372 Å, 68.35 deg, rel. 7.5; d = 5.490 Å, 16.14 deg, rel. 5.5

Crystal structure
```
LaPb3S
1.0
5.4899 0.0000 0.0000
0.0000 5.4899 0.0000
0.0000 0.0000 5.4899
La Pb S
1 3 1
Direct
0.0000 0.0000 0.0000
0.0000 0.5000 0.5000
0.5000 0.0000 0.5000
0.5000 0.5000 0.0000
0.5000 0.5000 0.5000
```



5.
The following is a simulated XRD peak list of KPu2HgTe4. It was derived from a GGA-PBE-relaxed structure, using CuKα.
Intensities are scaled so that the largest is 100.

Largest 10 diffraction maxima, most intense first, 2θ = 10–90°:
d = 3.128 Å, 28.54 deg, rel. 100.0; d = 6.920 Å, 12.79 deg, rel. 82.0; d = 2.296 Å, 39.24 deg, rel. 59.7; d = 2.942 Å, 30.38 deg, rel. 41.4; d = 2.864 Å, 31.23 deg, rel. 32.1; d = 2.275 Å, 39.62 deg, rel. 31.1; d = 3.326 Å, 26.80 deg, rel. 26.2; d = 3.535 Å, 25.19 deg, rel. 20.5; d = 2.654 Å, 33.77 deg, rel. 18.7; d = 1.800 Å, 50.73 deg, rel. 17.7

Crystal structure
```
KPu2HgTe4
1.0
2.2748 -7.6826 0.0000
2.2748 7.6826 0.0000
0.0000 0.0000 15.9254
K Pu Hg Te
2 4 2 8
Direct
0.1315 0.8685 0.7500
0.8685 0.1315 0.2500
0.3717 0.6283 0.5644
0.3717 0.6283 0.9356
0.6283 0.3717 0.0644
0.6283 0.3717 0.4356
0.1529 0.8471 0.2500
0.8471 0.1529 0.7500
0.0000 0.0000 0.0000
0.0000 0.0000 0.5000
0.2659 0.7341 0.1067
0.2659 0.7341 0.3933
0.4594 0.5406 0.7500
0.5406 0.4594 0.2500
0.7341 0.2659 0.6067
0.7341 0.2659 0.8933
```



6.
The following is a simulated XRD peak list of Ac2NpO7. It was derived from a GGA-PBE-relaxed structure, using CuKα.
Intensities are scaled so that the largest is 100.

Largest 10 diffraction maxima, most intense first, 2θ = 10–90°:
d = 3.484 Å, 25.57 deg, rel. 100.0; d = 3.187 Å, 27.99 deg, rel. 79.4; d = 3.557 Å, 25.03 deg, rel. 59.3; d = 2.884 Å, 31.00 deg, rel. 54.1; d = 1.832 Å, 49.76 deg, rel. 42.3; d = 2.873 Å, 31.13 deg, rel. 36.6; d = 2.088 Å, 43.34 deg, rel. 36.5; d = 1.884 Å, 48.32 deg, rel. 31.4; d = 1.554 Å, 59.50 deg, rel. 25.6; d = 2.783 Å, 32.16 deg, rel. 22.7

Crystal structure
```
Ac2NpO7
1.0
-4.3817 4.5820 3.6883
4.3817 -4.5820 3.6883
4.3817 4.5820 -3.6883
Ac Np O
4 2 14
Direct
0.1640 0.1265 0.2905
0.3360 0.6265 0.9625
0.6640 0.3735 0.0375
0.8360 0.8735 0.7095
0.2500 0.7500 0.5000
0.7500 0.2500 0.5000
0.0099 0.8165 0.4520
0.0606 0.6342 0.6948
0.1355 0.6835 0.1934
0.2500 0.2500 0.0000
0.3645 0.5579 0.5480
0.4394 0.1342 0.5736
0.4901 0.9421 0.8066
0.5099 0.0579 0.1934
0.5606 0.8658 0.4264
0.6355 0.4421 0.4520
0.7500 0.7500 0.0000
0.8645 0.3165 0.8066
0.9394 0.3658 0.3052
0.9901 0.1835 0.5480
```



7.
The following is a simulated XRD peak list of LiTh2Ga12. It was derived from a GGA-PBE-relaxed structure, using CuKα.
Intensities are scaled so that the largest is 100.

Largest 10 diffraction maxima, most intense first, 2θ = 10–90°:
d = 2.875 Å, 31.11 deg, rel. 100.0; d = 2.198 Å, 41.06 deg, rel. 29.9; d = 2.192 Å, 41.18 deg, rel. 27.4; d = 1.553 Å, 59.52 deg, rel. 17.4; d = 1.746 Å, 52.42 deg, rel. 17.3; d = 7.587 Å, 11.66 deg, rel. 16.9; d = 2.404 Å, 37.40 deg, rel. 16.7; d = 1.365 Å, 68.80 deg, rel. 15.1; d = 1.367 Å, 68.63 deg, rel. 12.7; d = 3.804 Å, 23.39 deg, rel. 12.1

Crystal structure
```
LiTh2Ga12
1.0
6.2177 0.0000 0.0000
0.0000 6.2177 0.0000
0.0000 0.0000 15.1733
Li Th Ga
2 4 24
Direct
0.2500 0.7500 0.0000
0.7500 0.2500 0.0000
0.2500 0.7500 0.2450
0.2500 0.7500 0.7550
0.7500 0.2500 0.2450
0.7500 0.2500 0.7550
0.0009 0.5009 0.0863
0.0009 0.9991 0.9137
0.0788 0.5788 0.5719
0.0788 0.9212 0.4281
0.2500 0.2500 0.1792
0.2500 0.2500 0.3414
0.2500 0.2500 0.6586
0.2500 0.2500 0.8208
0.4212 0.5788 0.4281
0.4212 0.9212 0.5719
0.4991 0.5009 0.9137
0.4991 0.9991 0.0863
0.5009 0.0009 0.9137
0.5009 0.4991 0.0863
0.5788 0.0788 0.4281
0.5788 0.4212 0.5719
0.7500 0.7500 0.1792
0.7500 0.7500 0.3414
0.7500 0.7500 0.6586
0.7500 0.7500 0.8208
0.9212 0.0788 0.5719
0.9212 0.4212 0.4281
0.9991 0.0009 0.0863
0.9991 0.4991 0.9137
```



Repeat the seventh record exactly.
The following is a simulated XRD peak list of LiTh2Ga12. It was derived from a GGA-PBE-relaxed structure, using CuKα.
Intensities are scaled so that the largest is 100.

Largest 10 diffraction maxima, most intense first, 2θ = 10–90°:
d = 2.875 Å, 31.11 deg, rel. 100.0; d = 2.198 Å, 41.06 deg, rel. 29.9; d = 2.192 Å, 41.18 deg, rel. 27.4; d = 1.553 Å, 59.52 deg, rel. 17.4; d = 1.746 Å, 52.42 deg, rel. 17.3; d = 7.587 Å, 11.66 deg, rel. 16.9; d = 2.404 Å, 37.40 deg, rel. 16.7; d = 1.365 Å, 68.80 deg, rel. 15.1; d = 1.367 Å, 68.63 deg, rel. 12.7; d = 3.804 Å, 23.39 deg, rel. 12.1

Crystal structure
```
LiTh2Ga12
1.0
6.2177 0.0000 0.0000
0.0000 6.2177 0.0000
0.0000 0.0000 15.1733
Li Th Ga
2 4 24
Direct
0.2500 0.7500 0.0000
0.7500 0.2500 0.0000
0.2500 0.7500 0.2450
0.2500 0.7500 0.7550
0.7500 0.2500 0.2450
0.7500 0.2500 0.7550
0.0009 0.5009 0.0863
0.0009 0.9991 0.9137
0.0788 0.5788 0.5719
0.0788 0.9212 0.4281
0.2500 0.2500 0.1792
0.2500 0.2500 0.3414
0.2500 0.2500 0.6586
0.2500 0.2500 0.8208
0.4212 0.5788 0.4281
0.4212 0.9212 0.5719
0.4991 0.5009 0.9137
0.4991 0.9991 0.0863
0.5009 0.0009 0.9137
0.5009 0.4991 0.0863
0.5788 0.0788 0.4281
0.5788 0.4212 0.5719
0.7500 0.7500 0.1792
0.7500 0.7500 0.3414
0.7500 0.7500 0.6586
0.7500 0.7500 0.8208
0.9212 0.0788 0.5719
0.9212 0.4212 0.4281
0.9991 0.0009 0.0863
0.9991 0.4991 0.9137
```



Question: Number 1 is which compound?
Answer: NdSm2C